Calculated X-ray diffraction stick pattern of Li2VFeO4 for copper Kα, from a structure optimized by DFT (PBE+U).
Neutral-atom scattering factors, no anomalous dispersion.

The 10 most intense peaks (2θ = 10–90°), in order of rising 2θ:
(hkl), Position (°2θ), d (Å), I (rel.)
0 1 -1, 18.38, 4.828, 100
0 1 -2, 35.32, 2.541, 16
1 -2 0, 35.72, 2.514, 12
-2 1 1, 35.83, 2.506, 15
0 2 -2, 37.19, 2.417, 8
2 0 0, 37.34, 2.408, 8
0 0 2, 42.79, 2.113, 29
2 2 -2, 43.55, 2.078, 55
-2 2 2, 62.68, 1.482, 23
2 2 -4, 62.78, 1.480, 8

Structural model:
Lattice parameters (Å, degrees): 5.8614 5.8944 5.9216 119.80 119.55 90.05
Space group P1 (No. 1)
One atom of each set of equivalent atoms:
Li1 0.0000 0.0000 0.0000 [1 per cell]
Li2 0.0001 0.9999 0.4992 [1 per cell]
Li3 0.4992 0.0000 0.4995 [1 per cell]
Li4 0.9993 0.4987 0.9986 [1 per cell]
V1 0.5000 0.0005 0.0001 [1 per cell]
V2 0.5000 0.5005 0.0000 [1 per cell]
Fe1 0.0002 0.5001 0.4999 [1 per cell]
Fe2 0.4996 0.5006 0.5004 [1 per cell]
O1 0.2479 0.2757 0.5014 [1 per cell]
O2 0.2518 0.7377 0.5127 [1 per cell]
O3 0.2654 0.7521 0.0078 [1 per cell]
O4 0.2723 0.2659 0.0265 [1 per cell]
O5 0.7275 0.7350 0.9735 [1 per cell]
O6 0.7345 0.2486 0.9919 [1 per cell]
O7 0.7481 0.2631 0.4872 [1 per cell]
O8 0.7520 0.7250 0.4984 [1 per cell]

Calculated X-ray diffraction stick pattern of Li2VFe2O6 for copper Kα, from a structure optimized by DFT (PBE+U).
Neutral-atom scattering factors, no anomalous dispersion.

The 10 most intense peaks (2θ = 10–90°), in order of rising 2θ:
(hkl), Position (°2θ), d (Å), I (rel.)
2 0 -1, 18.11, 4.898, 100
1 3 1, 36.11, 2.487, 23
4 0 1, 36.85, 2.439, 11
3 3 0, 37.83, 2.378, 6
1 3 -2, 43.39, 2.086, 42
6 0 0, 44.38, 2.041, 19
0 0 3, 47.69, 1.907, 10
3 3 -3, 56.87, 1.619, 10
7 3 -2, 62.83, 1.479, 10
5 3 2, 64.77, 1.439, 11

Structural model:
Lattice parameters (Å, degrees): 12.7250 8.7788 5.9510 90.00 105.74 90.00
Space group C2/m (No. 12)
One atom of each set of equivalent atoms:
Li1 0.0000 0.1702 0.0000 [4 per cell]
Li2 0.1696 0.3352 0.3278 [8 per cell]
V1 0.0000 0.1633 0.5000 [4 per cell]
V2 0.0000 0.5000 0.5000 [2 per cell]
Fe1 0.1671 0.0000 0.8419 [4 per cell]
Fe2 0.1667 0.3350 0.8363 [8 per cell]
O1 0.0048 0.3280 0.7274 [8 per cell]
O2 0.0076 0.0000 0.7366 [4 per cell]
O3 0.1537 0.5000 0.5883 [4 per cell]
O4 0.1576 0.1700 0.6094 [8 per cell]
O5 0.1746 0.1712 0.0614 [8 per cell]
O6 0.1770 0.5000 0.0613 [4 per cell]

Calculated X-ray diffraction stick pattern of Li3V3FeO8 for copper Kα, from a structure optimized by DFT (PBE+U).
Neutral-atom scattering factors, no anomalous dispersion.

The 10 most intense peaks (2θ = 10–90°), in order of rising 2θ:
(hkl), Position (°2θ), d (Å), I (rel.)
0 0 1, 18.08, 4.905, 100
4 0 -1, 34.99, 2.565, 12
2 2 -1, 35.33, 2.540, 25
0 0 2, 36.64, 2.452, 6
4 0 0, 42.48, 2.128, 25
2 2 -2, 42.85, 2.111, 49
2 2 1, 46.79, 1.941, 7
2 2 -3, 56.51, 1.629, 9
6 2 -2, 61.90, 1.499, 33
0 4 0, 62.56, 1.485, 7

Structural model:
Lattice parameters (Å, degrees): 10.4132 5.9393 6.0011 90.00 125.17 90.00
Space group C2/m (No. 12)
One atom of each set of equivalent atoms:
Li1 0.0000 0.0000 0.0000 [2 per cell]
Li2 0.2500 0.2500 0.0000 [4 per cell]
V1 0.0000 0.5000 0.5000 [2 per cell]
V2 0.2500 0.2500 0.5000 [4 per cell]
Fe1 0.0000 0.0000 0.5000 [2 per cell]
O1 0.0092 0.2538 0.2808 [8 per cell]
O2 0.2349 0.0000 0.7134 [4 per cell]
O3 0.2393 0.5000 0.7306 [4 per cell]

Calculated X-ray diffraction stick pattern of Li3VFe3O8 for copper Kα, from a structure optimized by DFT (PBE+U).
Neutral-atom scattering factors, no anomalous dispersion.

The 10 most intense peaks (2θ = 10–90°), in order of rising 2θ:
(hkl), Position (°2θ), d (Å), I (rel.)
0 0 1, 18.03, 4.919, 100
4 0 -1, 35.07, 2.559, 13
2 2 -1, 35.48, 2.530, 26
2 2 0, 37.00, 2.430, 7
4 0 0, 42.44, 2.130, 24
2 2 -2, 42.96, 2.105, 46
4 0 -3, 46.79, 1.942, 12
2 2 -3, 56.57, 1.627, 10
2 2 2, 61.79, 1.501, 12
6 2 -2, 62.17, 1.493, 13

Structural model:
Lattice parameters (Å, degrees): 10.3784 5.9168 5.9925 90.00 124.82 90.00
Space group C2/m (No. 12)
One atom of each set of equivalent atoms:
Li1 0.0000 0.0000 0.0000 [2 per cell]
Li2 0.2500 0.2500 0.0000 [4 per cell]
V1 0.0000 0.5000 0.5000 [2 per cell]
Fe1 0.0000 0.0000 0.5000 [2 per cell]
Fe2 0.2500 0.2500 0.5000 [4 per cell]
O1 0.0082 0.2531 0.2804 [8 per cell]
O2 0.2344 0.0000 0.7146 [4 per cell]
O3 0.2393 0.5000 0.7288 [4 per cell]

Calculated X-ray diffraction stick pattern of Li2VFe3O8 for copper Kα, from a structure optimized by DFT (PBE+U).
Neutral-atom scattering factors, no anomalous dispersion.

The 10 most intense peaks (2θ = 10–90°), in order of rising 2θ:
(hkl), Position (°2θ), d (Å), I (rel.)
0 0 2, 18.66, 4.756, 56
1 0 1, 19.55, 4.540, 100
1 0 2, 25.45, 3.499, 26
1 0 3, 33.15, 2.702, 36
1 1 2, 35.52, 2.527, 42
2 0 1, 36.02, 2.493, 57
2 0 2, 39.70, 2.270, 38
2 0 3, 45.28, 2.003, 63
2 0 5, 60.43, 1.532, 40
2 2 0, 62.24, 1.492, 38

Structural model:
Lattice parameters (Å, degrees): 5.9661 5.9661 9.5122 90.00 90.00 120.00
Space group P6_3mc (No. 186)
One atom of each set of equivalent atoms:
Li1 0.0000 0.0000 0.0000 [2 per cell]
Li2 0.3333 0.6667 0.4130 [2 per cell]
V1 0.3333 0.6667 0.0055 [2 per cell]
Fe1 0.1731 0.3463 0.7270 [6 per cell]
O1 0.0000 0.0000 0.3092 [2 per cell]
O2 0.0451 0.5226 0.8576 [6 per cell]
O3 0.1745 0.3491 0.0963 [6 per cell]
O4 0.3333 0.6667 0.6134 [2 per cell]

Calculated X-ray diffraction stick pattern of Li3V4FeO8 for copper Kα, from a structure optimized by DFT (PBE+U).
Neutral-atom scattering factors, no anomalous dispersion.

The 10 most intense peaks (2θ = 10–90°), in order of rising 2θ:
(hkl), Position (°2θ), d (Å), I (rel.)
2 0 -1, 17.97, 4.937, 88
2 0 0, 20.77, 4.276, 12
0 2 1, 34.76, 2.581, 38
4 0 -2, 36.44, 2.466, 30
2 2 -2, 42.18, 2.143, 100
4 0 0, 42.37, 2.133, 49
4 0 -4, 60.89, 1.521, 14
2 2 2, 61.17, 1.515, 27
0 4 0, 61.47, 1.509, 41
4 4 0, 77.49, 1.232, 12

Structural model:
Lattice parameters (Å, degrees): 10.4502 6.0350 6.0854 90.00 125.25 90.00
Space group C2/m (No. 12)
One atom of each set of equivalent atoms:
Li1 0.0000 0.0000 0.0000 [2 per cell]
Li2 0.2500 0.2500 0.5000 [4 per cell]
V1 0.0000 0.0000 0.5000 [2 per cell]
V2 0.0000 0.5000 0.0000 [2 per cell]
V3 0.2500 0.2500 0.0000 [4 per cell]
Fe1 0.0000 0.5000 0.5000 [2 per cell]
O1 0.0078 0.2523 0.7684 [8 per cell]
O2 0.2419 0.5000 0.2299 [4 per cell]
O3 0.2451 0.5000 0.7651 [4 per cell]

Calculated X-ray diffraction stick pattern of Li3VFe3O8 for copper Kα, from a structure optimized by DFT (PBE+U).
Neutral-atom scattering factors, no anomalous dispersion.

The 10 most intense peaks (2θ = 10–90°), in order of rising 2θ:
(hkl), Position (°2θ), d (Å), I (rel.)
0 0 3, 18.02, 4.924, 100
0 2 1, 35.20, 2.550, 39
2 0 2, 36.79, 2.443, 10
0 2 4, 42.66, 2.120, 70
2 0 5, 46.65, 1.947, 12
0 2 7, 56.24, 1.636, 15
2 0 8, 61.71, 1.503, 18
2 2 0, 62.11, 1.494, 19
2 2 3, 65.24, 1.430, 14
4 0 4, 78.27, 1.221, 9

Structural model:
Lattice parameters (Å, degrees): 5.9779 5.9779 14.7709 90.00 90.00 120.00
Space group R-3m (No. 166, hexagonal axes)
One atom of each set of equivalent atoms:
Li1 0.0000 0.5000 0.0000 [9 per cell]
V1 0.0000 0.0000 0.5000 [3 per cell]
Fe1 0.0000 0.5000 0.5000 [9 per cell]
O1 0.0000 0.0000 0.2415 [6 per cell]
O2 0.0151 0.5076 0.2393 [18 per cell]

Calculated X-ray diffraction stick pattern of Li2V3FeO8 for copper Kα, from a structure optimized by DFT (PBE+U).
Neutral-atom scattering factors, no anomalous dispersion.

The 10 most intense peaks (2θ = 10–90°), in order of rising 2θ:
(hkl), Position (°2θ), d (Å), I (rel.)
0 0 3, 18.25, 4.861, 61
0 1 2, 21.13, 4.204, 36
1 0 4, 30.04, 2.975, 30
0 2 1, 35.42, 2.534, 100
0 2 4, 43.03, 2.102, 37
1 1 6, 48.41, 1.880, 10
0 2 7, 56.86, 1.619, 20
0 3 3, 56.92, 1.618, 19
2 0 8, 62.43, 1.488, 25
2 2 0, 62.54, 1.485, 26

Structural model:
Lattice parameters (Å, degrees): 5.9406 5.9406 14.5870 90.00 90.00 120.00
Space group R3m (No. 160, hexagonal axes)
One atom of each set of equivalent atoms:
Li1 0.0000 0.0000 0.0000 [3 per cell]
Li2 0.0000 0.0000 0.3796 [3 per cell]
V1 0.0123 0.5061 0.8811 [9 per cell]
Fe1 0.0000 0.0000 0.7589 [3 per cell]
O1 0.0000 0.0000 0.1371 [3 per cell]
O2 0.0000 0.0000 0.6243 [3 per cell]
O3 0.0165 0.5082 0.1373 [9 per cell]
O4 0.1782 0.3564 0.9502 [9 per cell]

Calculated X-ray diffraction stick pattern of Li3VFe3O8 for copper Kα, from a structure optimized by DFT (PBE+U).
Neutral-atom scattering factors, no anomalous dispersion.

The 10 most intense peaks (2θ = 10–90°), in order of rising 2θ:
(hkl), Position (°2θ), d (Å), I (rel.)
0 0 1, 18.03, 4.919, 100
0 2 -1, 35.07, 2.559, 28
2 -2 1, 35.58, 2.524, 12
0 2 -2, 36.81, 2.442, 7
2 0 0, 36.99, 2.430, 8
0 2 0, 42.44, 2.130, 22
2 0 -2, 42.83, 2.112, 17
2 -2 2, 43.11, 2.099, 23
2 0 1, 46.79, 1.941, 15
2 0 2, 61.89, 1.499, 10

Structural model:
Lattice parameters (Å, degrees): 5.9168 5.9606 5.9925 119.61 90.36 119.48
Space group P-1 (No. 2)
One atom of each set of equivalent atoms:
Li1 0.0000 0.0000 0.0000 [1 per cell]
Li2 0.0000 0.5000 0.0000 [1 per cell]
Li3 0.5000 0.0000 0.0000 [1 per cell]
V1 0.5000 0.5000 0.5000 [1 per cell]
Fe1 0.0000 0.0000 0.5000 [1 per cell]
Fe2 0.0000 0.5000 0.5000 [1 per cell]
Fe3 0.5000 0.0000 0.5000 [1 per cell]
O1 0.1919 0.4605 0.2854 [2 per cell]
O2 0.1945 0.9558 0.2804 [2 per cell]
O3 0.2826 0.5211 0.7288 [2 per cell]
O4 0.3006 0.0564 0.7154 [2 per cell]